[1]
This entry pairs a crystal structure of Li7CrFe3P6O24 with its computed XRD peak list. Radiation: Cu Kα. Structure: a crystal structure in the Materials Project, relaxed with GGA+U.
No peak broadening, texture or thermal motion is included.

Structural model:
Cell: 8.7849 8.7849 8.7849 Å, 60.35 60.35 60.35°
Atoms (fractional coordinates):
Li: 0.0000 0.0000 0.0000
Li: 0.1859 0.8252 0.6433
Li: 0.2350 0.4190 0.6769
Li: 0.4190 0.6769 0.2350
Li: 0.6433 0.1859 0.8252
Li: 0.6769 0.2350 0.4190
Li: 0.8252 0.6433 0.1859
Cr: 0.3348 0.3348 0.3348
Fe: 0.1262 0.1262 0.1262
Fe: 0.6255 0.6255 0.6255
Fe: 0.8278 0.8278 0.8278
P: 0.0261 0.7274 0.4333
P: 0.2289 0.5222 0.9414
P: 0.4333 0.0261 0.7274
P: 0.5222 0.9414 0.2289
P: 0.7274 0.4333 0.0261
P: 0.9414 0.2289 0.5222
O: 0.0149 0.7604 0.5950
O: 0.0424 0.8952 0.2507
O: 0.0501 0.6940 0.9414
O: 0.1013 0.2824 0.4785
O: 0.2033 0.3523 0.9507
O: 0.2170 0.5637 0.4095
O: 0.2507 0.0424 0.8952
O: 0.2824 0.4785 0.1013
O: 0.3523 0.9507 0.2033
O: 0.3760 0.5722 0.7441
O: 0.4095 0.2170 0.5637
O: 0.4740 0.8654 0.6731
O: 0.4785 0.1013 0.2824
O: 0.5637 0.4095 0.2170
O: 0.5722 0.7441 0.3760
O: 0.5950 0.0149 0.7604
O: 0.6731 0.4740 0.8654
O: 0.6940 0.9414 0.0501
O: 0.7441 0.3760 0.5722
O: 0.7604 0.5950 0.0149
O: 0.8654 0.6731 0.4740
O: 0.8952 0.2507 0.0424
O: 0.9414 0.0501 0.6940
O: 0.9507 0.2033 0.3523

Most intense lines, 2θ = 5–70°, low angle first:
d [Å], two_theta, I_rel
6.228, 14.22, 26
4.416, 20.11, 24
4.392, 20.22, 53
3.758, 23.68, 100
3.114, 28.67, 36
2.865, 31.22, 19
2.779, 32.21, 43
2.548, 35.23, 35
1.880, 48.43, 23
1.669, 55.04, 24

---

[2]
This entry pairs a crystal structure of Li2CrFeP2O8 with its computed XRD peak list. Radiation: Cu Kα. Structure: a crystal structure in the Materials Project, relaxed with GGA+U.
No peak broadening, texture or thermal motion is included.

Structural model:
Cell: 4.7789 5.9781 10.7694 Å, 90.00 91.83 90.00°
Atoms (fractional coordinates):
Li: 0.0000 0.0000 0.0000
Li: 0.0000 0.5000 0.0000
Li: 0.5000 0.0000 0.5000
Li: 0.5000 0.5000 0.5000
Cr: 0.0073 0.2500 0.7246
Cr: 0.9927 0.7500 0.2754
Fe: 0.4816 0.7500 0.7795
Fe: 0.5184 0.2500 0.2205
P: 0.0894 0.2500 0.4013
P: 0.4211 0.2500 0.9124
P: 0.5789 0.7500 0.0876
P: 0.9106 0.7500 0.5987
O: 0.2186 0.0421 0.3326
O: 0.2186 0.4579 0.3326
O: 0.2199 0.2500 0.5348
O: 0.2328 0.7500 0.6037
O: 0.2606 0.7500 0.0835
O: 0.2864 0.0461 0.8376
O: 0.2864 0.4539 0.8376
O: 0.2899 0.2500 0.0423
O: 0.7101 0.7500 0.9577
O: 0.7136 0.5461 0.1624
O: 0.7136 0.9539 0.1624
O: 0.7394 0.2500 0.9165
O: 0.7672 0.2500 0.3963
O: 0.7801 0.7500 0.4652
O: 0.7814 0.5421 0.6674
O: 0.7814 0.9579 0.6674

Most intense lines, 2θ = 5–70°, low angle first:
d [Å], two_theta, I_rel
5.382, 16.47, 50
4.419, 20.10, 58
4.315, 20.58, 36
4.000, 22.23, 40
3.553, 25.06, 57
3.499, 25.46, 66
2.989, 29.89, 100
2.619, 34.24, 100
2.555, 35.13, 90
2.455, 36.60, 50

---

[3]
This entry pairs a crystal structure of Li2CrFeP2O8 with its computed XRD peak list. Radiation: Cu Kα. Structure: a crystal structure in the Materials Project, relaxed with GGA+U.
No peak broadening, texture or thermal motion is included.

Structural model:
Cell: 4.7744 5.9807 10.7788 Å, 89.46 88.50 89.68°
Atoms (fractional coordinates):
Li: 0.0000 0.0000 0.0000
Li: 0.0000 0.5000 0.0000
Li: 0.5000 0.0000 0.5000
Li: 0.5000 0.5000 0.5000
Cr: 0.0094 0.2479 0.2751
Cr: 0.9906 0.7521 0.7249
Fe: 0.4847 0.7473 0.2200
Fe: 0.5153 0.2527 0.7800
P: 0.0869 0.2475 0.5988
P: 0.4213 0.2479 0.0880
P: 0.5787 0.7521 0.9120
P: 0.9131 0.7525 0.4012
O: 0.2154 0.0349 0.6647
O: 0.2157 0.2543 0.4656
O: 0.2178 0.4506 0.6702
O: 0.2356 0.7507 0.3968
O: 0.2603 0.7508 0.9157
O: 0.2846 0.4495 0.1631
O: 0.2893 0.0413 0.1611
O: 0.2890 0.2509 0.9576
O: 0.7110 0.7491 0.0424
O: 0.7107 0.9587 0.8389
O: 0.7154 0.5505 0.8369
O: 0.7397 0.2492 0.0843
O: 0.7644 0.2493 0.6032
O: 0.7822 0.5494 0.3298
O: 0.7843 0.7457 0.5344
O: 0.7846 0.9651 0.3353

Most intense lines, 2θ = 5–70°, low angle first:
d [Å], two_theta, I_rel
5.387, 16.45, 50
4.407, 20.15, 58
4.322, 20.55, 38
3.503, 25.43, 65
2.990, 29.88, 100
2.625, 34.15, 52
2.603, 34.45, 47
2.565, 34.98, 45
2.557, 35.09, 45
2.464, 36.47, 40

---

[4]
This entry pairs a crystal structure of Li4CrFe3Sn2P6O24 with its computed XRD peak list. Radiation: Cu Kα. Structure: a crystal structure in the Materials Project, relaxed with GGA+U.
No peak broadening, texture or thermal motion is included.

Structural model:
Cell: 8.5210 8.5642 9.2336 Å, 90.77 116.86 119.70°
Atoms (fractional coordinates):
Li: 0.0000 0.0000 0.0000
Li: 0.0910 0.7930 0.6803
Li: 0.3600 0.6231 0.9867
Li: 0.6096 0.2597 0.9968
Cr: 0.8469 0.0608 0.2771
Fe: 0.2285 0.2497 0.8677
Fe: 0.2292 0.7471 0.3604
Fe: 0.8565 0.5531 0.8199
Sn: 0.5361 0.9018 0.7658
Sn: 0.5787 0.4181 0.4084
P: 0.0384 0.3567 0.0875
P: 0.0519 0.4550 0.5822
P: 0.3287 0.1418 0.5793
P: 0.3471 0.9472 0.0769
P: 0.7473 0.8698 0.5766
P: 0.7610 0.6679 0.0879
O: 0.1285 0.0942 0.4182
O: 0.1589 0.5091 0.2564
O: 0.1759 0.6623 0.5689
O: 0.1936 0.3927 0.0301
O: 0.2021 0.7652 0.9195
O: 0.2127 0.4488 0.7447
O: 0.2750 0.0829 0.0357
O: 0.3092 0.1151 0.7380
O: 0.3390 0.8903 0.2313
O: 0.3927 0.0047 0.5498
O: 0.5179 0.3475 0.6174
O: 0.5179 0.7769 0.5458
O: 0.5726 0.4613 0.0223
O: 0.5786 0.0531 0.1133
O: 0.6888 0.7954 0.1172
O: 0.7538 0.9361 0.4287
O: 0.7943 0.7112 0.5938
O: 0.8298 0.7227 0.9549
O: 0.8423 0.3538 0.9501
O: 0.8756 0.4477 0.6076
O: 0.8983 0.0226 0.7527
O: 0.9454 0.3077 0.4182
O: 0.9511 0.1578 0.1157
O: 0.9508 0.7008 0.2571

Most intense lines, 2θ = 5–70°, low angle first:
d [Å], two_theta, I_rel
4.286, 20.72, 100
4.260, 20.85, 45
3.766, 23.62, 80
3.539, 25.16, 22
2.905, 30.78, 68
2.895, 30.89, 64
2.873, 31.12, 51
2.480, 36.23, 22
2.468, 36.41, 30
2.462, 36.50, 24

---

Copy entry 1 word for word.
This entry pairs a crystal structure of Li7CrFe3P6O24 with its computed XRD peak list. Radiation: Cu Kα. Structure: a crystal structure in the Materials Project, relaxed with GGA+U.
No peak broadening, texture or thermal motion is included.

Structural model:
Cell: 8.7849 8.7849 8.7849 Å, 60.35 60.35 60.35°
Atoms (fractional coordinates):
Li: 0.0000 0.0000 0.0000
Li: 0.1859 0.8252 0.6433
Li: 0.2350 0.4190 0.6769
Li: 0.4190 0.6769 0.2350
Li: 0.6433 0.1859 0.8252
Li: 0.6769 0.2350 0.4190
Li: 0.8252 0.6433 0.1859
Cr: 0.3348 0.3348 0.3348
Fe: 0.1262 0.1262 0.1262
Fe: 0.6255 0.6255 0.6255
Fe: 0.8278 0.8278 0.8278
P: 0.0261 0.7274 0.4333
P: 0.2289 0.5222 0.9414
P: 0.4333 0.0261 0.7274
P: 0.5222 0.9414 0.2289
P: 0.7274 0.4333 0.0261
P: 0.9414 0.2289 0.5222
O: 0.0149 0.7604 0.5950
O: 0.0424 0.8952 0.2507
O: 0.0501 0.6940 0.9414
O: 0.1013 0.2824 0.4785
O: 0.2033 0.3523 0.9507
O: 0.2170 0.5637 0.4095
O: 0.2507 0.0424 0.8952
O: 0.2824 0.4785 0.1013
O: 0.3523 0.9507 0.2033
O: 0.3760 0.5722 0.7441
O: 0.4095 0.2170 0.5637
O: 0.4740 0.8654 0.6731
O: 0.4785 0.1013 0.2824
O: 0.5637 0.4095 0.2170
O: 0.5722 0.7441 0.3760
O: 0.5950 0.0149 0.7604
O: 0.6731 0.4740 0.8654
O: 0.6940 0.9414 0.0501
O: 0.7441 0.3760 0.5722
O: 0.7604 0.5950 0.0149
O: 0.8654 0.6731 0.4740
O: 0.8952 0.2507 0.0424
O: 0.9414 0.0501 0.6940
O: 0.9507 0.2033 0.3523

Most intense lines, 2θ = 5–70°, low angle first:
d [Å], two_theta, I_rel
6.228, 14.22, 26
4.416, 20.11, 24
4.392, 20.22, 53
3.758, 23.68, 100
3.114, 28.67, 36
2.865, 31.22, 19
2.779, 32.21, 43
2.548, 35.23, 35
1.880, 48.43, 23
1.669, 55.04, 24

---

Repeat the fourth record exactly.
This entry pairs a crystal structure of Li4CrFe3Sn2P6O24 with its computed XRD peak list. Radiation: Cu Kα. Structure: a crystal structure in the Materials Project, relaxed with GGA+U.
No peak broadening, texture or thermal motion is included.

Structural model:
Cell: 8.5210 8.5642 9.2336 Å, 90.77 116.86 119.70°
Atoms (fractional coordinates):
Li: 0.0000 0.0000 0.0000
Li: 0.0910 0.7930 0.6803
Li: 0.3600 0.6231 0.9867
Li: 0.6096 0.2597 0.9968
Cr: 0.8469 0.0608 0.2771
Fe: 0.2285 0.2497 0.8677
Fe: 0.2292 0.7471 0.3604
Fe: 0.8565 0.5531 0.8199
Sn: 0.5361 0.9018 0.7658
Sn: 0.5787 0.4181 0.4084
P: 0.0384 0.3567 0.0875
P: 0.0519 0.4550 0.5822
P: 0.3287 0.1418 0.5793
P: 0.3471 0.9472 0.0769
P: 0.7473 0.8698 0.5766
P: 0.7610 0.6679 0.0879
O: 0.1285 0.0942 0.4182
O: 0.1589 0.5091 0.2564
O: 0.1759 0.6623 0.5689
O: 0.1936 0.3927 0.0301
O: 0.2021 0.7652 0.9195
O: 0.2127 0.4488 0.7447
O: 0.2750 0.0829 0.0357
O: 0.3092 0.1151 0.7380
O: 0.3390 0.8903 0.2313
O: 0.3927 0.0047 0.5498
O: 0.5179 0.3475 0.6174
O: 0.5179 0.7769 0.5458
O: 0.5726 0.4613 0.0223
O: 0.5786 0.0531 0.1133
O: 0.6888 0.7954 0.1172
O: 0.7538 0.9361 0.4287
O: 0.7943 0.7112 0.5938
O: 0.8298 0.7227 0.9549
O: 0.8423 0.3538 0.9501
O: 0.8756 0.4477 0.6076
O: 0.8983 0.0226 0.7527
O: 0.9454 0.3077 0.4182
O: 0.9511 0.1578 0.1157
O: 0.9508 0.7008 0.2571

Most intense lines, 2θ = 5–70°, low angle first:
d [Å], two_theta, I_rel
4.286, 20.72, 100
4.260, 20.85, 45
3.766, 23.62, 80
3.539, 25.16, 22
2.905, 30.78, 68
2.895, 30.89, 64
2.873, 31.12, 51
2.480, 36.23, 22
2.468, 36.41, 30
2.462, 36.50, 24